The following is a theoretical XRD peak list of KNbSe4. It was derived from a structure optimized by DFT (GGA-PBE), using CuKα.
No peak broadening, texture or thermal motion is included.

Crystal structure
```
data_KNbSe4
_cell_length_a 7.8770
_cell_length_b 14.4952
_cell_length_c 6.4779
_cell_angle_alpha 90.00
_cell_angle_beta 113.46
_cell_angle_gamma 90.00
_space_group_name_H-M_alt 'C 1 2/c 1'
_space_group_IT_number 15
_space_group_name_Hall '-C 2yc'
loop_
_atom_site_label
_atom_site_type_symbol
_atom_site_fract_x
_atom_site_fract_y
_atom_site_fract_z
K1 K 0.0000 0.1466 0.2500
Nb1 Nb 0.0000 0.5003 0.2500
Se1 Se 0.0655 0.3586 0.5311
Se2 Se 0.2281 0.0725 0.8667
```

Largest 12 diffraction maxima, sorted by position, 10° ≤ 2θ ≤ 80°:
h k l	Position (°2θ)	I/Imax
0 2 0	12.2	71
1 1 0	13.7	100
1 1 -2	28.2	26
0 4 1	28.9	18
1 3 -2	33.3	36
3 1 -1	34.7	20
2 2 1	36.0	36
1 3 2	41.6	20
1 5 -2	41.8	21
3 3 -2	42.1	20
2 6 0	45.1	25
2 0 -4	56.9	24